Record 1
Starting from a DFT-relaxed cell (GGA-PBE, the Materials Project), the powder XRD pattern of FeSiN2 was computed for Cu Ka.
No peak broadening, texture or thermal motion is included.

Structure:
```
16
Lattice="5.905 0.000 0.000 0.000 5.542 0.000 -1.864 0.000 4.666" Properties=species:S:1:pos:R:3 pbc="T T T"
Fe -0.108 0.899 2.024
Fe -1.040 1.872 4.357
Fe 5.081 3.670 0.309
Fe 4.149 4.643 2.642
Si 0.984 3.501 2.374
Si 1.916 4.812 0.041
Si 2.125 0.730 4.625
Si 3.057 2.041 2.292
N -0.312 3.580 3.530
N 0.620 4.732 1.197
N 0.528 0.741 3.846
N 1.460 2.029 1.513
N 2.581 3.512 3.153
N 3.513 4.800 0.820
N 3.421 0.809 3.469
N 4.353 1.962 1.136
```

Peak list (10 most intense, 10 to 90 degrees two-theta, low angle first)
d_spacing, Rel. int.
5.484, 63
3.476, 29
2.666, 53
2.457, 58
2.354, 100
2.150, 32
2.070, 53
1.995, 23
1.579, 28
1.429, 28

=====

Record 2
Starting from a DFT-relaxed cell (GGA-PBE, the Materials Project), the powder XRD pattern of BaSrHo4O8 was computed for Cu Ka.
No peak broadening, texture or thermal motion is included.

Structure:
```
28
Lattice="3.439 0.000 0.000 0.000 12.061 0.000 0.000 0.000 10.289" Properties=species:S:1:pos:R:3 pbc="T T T"
Ba 0.000 1.221 0.000
Ba 0.000 10.840 5.145
Sr 1.720 4.785 5.217
Sr 1.720 7.276 0.072
Ho 0.000 1.721 3.396
Ho 0.000 4.378 8.515
Ho 0.000 7.683 3.370
Ho 0.000 10.340 8.540
Ho 1.720 1.723 6.942
Ho 1.720 4.398 1.832
Ho 1.720 7.663 6.977
Ho 1.720 10.338 1.797
O 0.000 0.412 7.573
O 0.000 3.281 6.467
O 0.000 3.983 3.389
O 0.000 5.036 0.425
O 0.000 7.025 5.570
O 0.000 8.078 8.534
O 0.000 8.780 1.322
O 0.000 11.649 2.428
O 1.720 1.085 4.765
O 1.720 2.147 1.905
O 1.720 2.840 8.931
O 1.720 5.615 7.848
O 1.720 6.446 2.703
O 1.720 9.220 3.786
O 1.720 9.914 7.050
O 1.720 10.976 9.910
```

Peak list (10 most intense, 10 to 90 degrees two-theta, low angle first)
d_spacing, Rel. int.
3.015, 49
2.981, 100
2.869, 79
2.859, 38
2.075, 38
2.060, 23
1.711, 16
1.701, 23
1.695, 16
1.490, 38

=====

Record 3
Starting from a DFT-relaxed cell (GGA-PBE, the Materials Project), the powder XRD pattern of EuNbO4 was computed for Cu Ka.
No peak broadening, texture or thermal motion is included.

Structure:
```
12
Lattice="3.648 -5.652 0.000 3.648 5.652 0.000 -3.444 0.000 3.917" Properties=species:S:1:pos:R:3 pbc="T T T"
Eu 1.065 4.206 2.937
Eu 2.787 -4.206 0.979
Nb 2.787 1.207 0.979
Nb 1.065 -1.207 2.937
O 1.351 2.368 1.321
O -0.890 0.351 3.157
O 0.832 -0.351 1.199
O 4.223 2.368 0.638
O -0.370 -2.368 3.279
O 3.021 0.351 2.717
O 4.742 -0.351 0.759
O 2.501 -2.368 2.596
```

Peak list (10 most intense, 10 to 90 degrees two-theta, low angle first)
d_spacing, Rel. int.
3.219, 100
3.062, 86
2.826, 22
2.740, 22
2.601, 16
1.967, 28
1.958, 20
1.914, 27
1.698, 13
1.684, 16

=====

Record 4
Starting from a DFT-relaxed cell (GGA-PBE, the Materials Project), the powder XRD pattern of TmAlCu4 was computed for Cu Ka.
No peak broadening, texture or thermal motion is included.

Structure:
```
6
Lattice="5.113 0.000 0.000 -2.557 4.428 0.000 0.000 0.000 4.033" Properties=species:S:1:pos:R:3 pbc="T T T"
Tm 0.000 0.000 0.000
Al 0.000 2.952 0.000
Cu 2.557 0.006 2.017
Cu 1.284 2.211 2.017
Cu 2.557 1.476 0.000
Cu 3.829 2.211 2.017
```

Peak list (10 most intense, 10 to 90 degrees two-theta, low angle first)
d_spacing, Rel. int.
2.982, 82
2.557, 28
2.214, 53
2.159, 100
2.017, 27
1.546, 23
1.491, 29
1.386, 23
1.278, 17
1.190, 19

=====

Record 5
Starting from a DFT-relaxed cell (GGA-PBE, the Materials Project), the powder XRD pattern of Rb2AlTlF6 was computed for Cu Ka.
No peak broadening, texture or thermal motion is included.

Structure:
```
10
Lattice="0.000 4.528 4.528 4.528 0.000 4.528 4.528 4.528 0.000" Properties=species:S:1:pos:R:3 pbc="T T T"
Rb 2.264 2.264 2.264
Rb 6.792 6.792 6.792
Al 0.000 0.000 0.000
Tl 4.528 4.528 4.528
F 4.528 4.528 1.843
F 4.528 1.843 4.528
F 7.213 4.528 4.528
F 1.843 4.528 4.528
F 4.528 7.213 4.528
F 4.528 4.528 7.213
```

Peak list (10 most intense, 10 to 90 degrees two-theta, low angle first)
d_spacing, Rel. int.
5.229, 27
3.202, 100
2.731, 30
2.264, 33
2.078, 21
1.849, 37
1.743, 9
1.601, 20
1.432, 22
1.210, 23

=====

Record 6
Starting from a DFT-relaxed cell (GGA-PBE, the Materials Project), the powder XRD pattern of NbW was computed for Cu Ka.
No peak broadening, texture or thermal motion is included.

Structure:
```
4
Lattice="3.247 0.000 0.000 0.000 4.589 0.000 0.000 0.000 4.593" Properties=species:S:1:pos:R:3 pbc="T T T"
Nb 0.000 0.000 0.000
Nb 1.623 2.294 0.000
W 0.000 2.294 2.297
W 1.623 0.000 2.297
```

Peak list (10 most intense, 10 to 90 degrees two-theta, low angle first)
d_spacing, Rel. int.
4.593, 9
2.650, 5
2.296, 100
2.053, 2
1.736, 3
1.623, 17
1.325, 35
1.273, 2
1.148, 9
1.147, 2